Simulated powder X-ray diffraction pattern of K3MgI5 for CuKα, from DFT lattice parameters and positions (GGA-PBE).
Peak positions follow from Bragg's law for the DFT cell and can differ from measured ones.

Atomic structure:
a b c (Å): 10.7987 10.7987 10.7987
angles (deg): 126.87 126.87 78.46
Element x y z (fractional)
K 0.1574 0.6574 0.8149
K 0.2500 0.2500 0.0000
K 0.3426 0.1574 0.5000
K 0.6574 0.8426 0.5000
K 0.7500 0.7500 0.0000
K 0.8426 0.3426 0.1851
Mg 0.2500 0.7500 0.5000
Mg 0.7500 0.2500 0.5000
I 0.0000 0.0000 0.0000
I 0.0075 0.1981 0.5000
I 0.1981 0.6981 0.1906
I 0.3019 0.4925 0.5000
I 0.4925 0.9925 0.1906
I 0.5000 0.5000 0.0000
I 0.5075 0.0075 0.8094
I 0.6981 0.5075 0.5000
I 0.8019 0.3019 0.8094
I 0.9925 0.8019 0.5000

Largest 10 diffraction maxima, in order of falling intensity, 10° ≤ 2θ ≤ 80°:
2θ (°), I (rel.)
26.10, 100
29.24, 40
43.27, 30
21.25, 28
53.68, 27
41.83, 23
28.23, 21
24.96, 18
43.97, 16
65.02, 13

***

Simulated powder X-ray diffraction pattern of K4MgI6 for CuKα, from DFT lattice parameters and positions (GGA-PBE).
Peak positions follow from Bragg's law for the DFT cell and can differ from measured ones.

Atomic structure:
a b c (Å): 9.5595 9.5595 16.7867
angles (deg): 109.97 109.97 56.17
Element x y z (fractional)
K 0.1359 0.8641 0.5000
K 0.2103 0.4927 0.0161
K 0.3970 0.7387 0.8226
K 0.4927 0.2103 0.5161
K 0.5240 0.9294 0.1704
K 0.7387 0.3970 0.3226
K 0.8641 0.1359 0.0000
K 0.9294 0.5240 0.6704
Mg 0.0550 0.5300 0.2631
Mg 0.5300 0.0550 0.7631
I 0.2015 0.2166 0.3058
I 0.2019 0.6000 0.6221
I 0.2166 0.2015 0.8058
I 0.2661 0.6598 0.2970
I 0.2717 0.8017 0.0036
I 0.5200 0.8915 0.5920
I 0.6000 0.2019 0.1221
I 0.6598 0.2661 0.7970
I 0.7555 0.7955 0.8584
I 0.7955 0.7555 0.3584
I 0.8017 0.2717 0.5036
I 0.8915 0.5200 0.0920

Largest 10 diffraction maxima, in order of falling intensity, 10° ≤ 2θ ≤ 80°:
2θ (°), I (rel.)
22.85, 100
22.41, 89
21.27, 63
23.49, 57
33.46, 39
18.67, 35
21.43, 33
22.98, 29
19.23, 29
37.92, 24

***

Simulated powder X-ray diffraction pattern of K2MgI4 for CuKα, from DFT lattice parameters and positions (GGA-PBE).
Peak positions follow from Bragg's law for the DFT cell and can differ from measured ones.

Atomic structure:
a b c (Å): 8.2294 8.3095 9.7784
angles (deg): 90.00 107.67 90.00
Element x y z (fractional)
K 0.2204 0.2500 0.0572
K 0.2493 0.2500 0.5604
K 0.7507 0.7500 0.4396
K 0.7796 0.7500 0.9428
Mg 0.2401 0.7500 0.8068
Mg 0.7599 0.2500 0.1932
I 0.0101 0.0017 0.7467
I 0.0101 0.4983 0.7467
I 0.4288 0.7500 0.0895
I 0.4308 0.7500 0.6223
I 0.5692 0.2500 0.3777
I 0.5712 0.2500 0.9105
I 0.9899 0.5017 0.2533
I 0.9899 0.9983 0.2533

Largest 10 diffraction maxima, in order of falling intensity, 10° ≤ 2θ ≤ 80°:
2θ (°), I (rel.)
24.24, 100
28.77, 71
25.05, 58
24.85, 39
44.43, 28
27.10, 27
44.60, 27
27.26, 26
36.77, 26
22.68, 24

***

Simulated powder X-ray diffraction pattern of K2SrMgI6 for CuKα, from DFT lattice parameters and positions (GGA-PBE).
Peak positions follow from Bragg's law for the DFT cell and can differ from measured ones.

Atomic structure:
a b c (Å): 8.5378 8.5378 6.6779
angles (deg): 90.00 90.00 90.00
Element x y z (fractional)
K 0.0000 0.5000 0.0000
K 0.5000 0.0000 0.0000
Sr 0.0000 0.0000 0.6181
Mg 0.5000 0.5000 0.5804
I 0.0000 0.0000 0.1324
I 0.2655 0.2655 0.6877
I 0.2655 0.7345 0.6877
I 0.5000 0.5000 0.1751
I 0.7345 0.2655 0.6877
I 0.7345 0.7345 0.6877

Largest 10 diffraction maxima, in order of falling intensity, 10° ≤ 2θ ≤ 80°:
2θ (°), I (rel.)
24.75, 100
29.59, 61
40.28, 34
14.67, 31
13.26, 27
26.70, 27
49.67, 26
42.35, 21
30.60, 18
50.77, 16

***

Simulated powder X-ray diffraction pattern of K3MnI6 for CuKα, from DFT lattice parameters and positions (GGA-PBE).
Peak positions follow from Bragg's law for the DFT cell and can differ from measured ones.

Atomic structure:
a b c (Å): 8.1398 9.0761 13.8132
angles (deg): 90.00 122.29 90.00
Element x y z (fractional)
K 0.0000 0.0000 0.0000
K 0.0000 0.5000 0.5000
K 0.2019 0.0884 0.7449
K 0.2019 0.4116 0.2449
K 0.7981 0.5884 0.7551
K 0.7981 0.9116 0.2551
Mn 0.5000 0.0000 0.5000
Mn 0.5000 0.5000 0.0000
I 0.1854 0.1570 0.4595
I 0.1854 0.3430 0.9595
I 0.2545 0.7165 0.4200
I 0.2545 0.7835 0.9200
I 0.4116 0.0530 0.2847
I 0.4116 0.4470 0.7847
I 0.5884 0.5530 0.2153
I 0.5884 0.9470 0.7153
I 0.7455 0.2165 0.0800
I 0.7455 0.2835 0.5800
I 0.8146 0.6570 0.0405
I 0.8146 0.8430 0.5405

Largest 10 diffraction maxima, in order of falling intensity, 10° ≤ 2θ ≤ 80°:
2θ (°), I (rel.)
24.72, 100
23.98, 92
26.79, 70
25.64, 60
32.68, 56
12.35, 53
27.85, 53
32.33, 52
24.85, 46
37.03, 38